Theoretical X-ray diffraction stick pattern
Compound: Mn6O5F7
Radiation: copper Kα
Structure: a crystal structure in the Materials Project, relaxed with GGA+U

Structure:
Cell: 4.6488 5.7050 7.9512 Å, 86.92 89.13 88.68°
Fractional positions:
Mn  0.0000  0.0000  0.0000
Mn  0.0044  0.6481  0.2995
Mn  0.4960  0.1518  0.3083
Mn  0.5001  0.8227  0.6403
Mn  0.5262  0.4623  0.9506
Mn  0.9786  0.3160  0.6166
O  0.1925  0.9329  0.2107
O  0.3154  0.1157  0.5371
O  0.6908  0.1779  0.0835
O  0.6957  0.5308  0.7226
O  0.8162  0.3670  0.3944
F  0.1745  0.2910  0.8516
F  0.2148  0.6264  0.5289
F  0.2879  0.7943  0.8802
F  0.2906  0.4508  0.1812
F  0.7183  0.8511  0.4122
F  0.7915  0.6825  0.0729
F  0.7958  0.0146  0.7608

Most intense lines, 2θ = 10–90°, sorted by position:
- 2θ = 26.5°, I = 100, (1 1 1)
- 2θ = 27.2°, I = 92, (-1 1 1)
- 2θ = 33.9°, I = 22, (0 0 3)
- 2θ = 34.0°, I = 30, (0 2 -1)
- 2θ = 34.2°, I = 55, (1 1 -2)
- 2θ = 39.0°, I = 17, (1 2 -1)
- 2θ = 51.6°, I = 16, (1 3 0)
- 2θ = 52.0°, I = 32, (2 0 3)
- 2θ = 54.5°, I = 17, (2 2 2)
- 2θ = 56.1°, I = 16, (-2 2 2)
- 2θ = 58.0°, I = 19, (0 2 -4)
- 2θ = 67.2°, I = 20, (3 1 -2)